Diffraction record for HoAl3CoCu. The powder diffractogram is simulated, not measured: it uses a structure optimized by DFT (PBE) and copper Kα.
Neutral-atom scattering factors, no anomalous dispersion.

Crystal structure
```
HoAl3CoCu
1.0
3.088 -5.971 0.000
3.088 5.971 0.000
0.000 0.000 5.537
Ho Al Co Cu
2 6 2 2
Cartesian
3.088 3.227 4.153 Ho
3.088 -3.227 1.384 Ho
1.280 0.000 0.000 Al
1.280 0.000 2.769 Al
3.088 1.675 1.384 Al
3.088 -1.675 4.153 Al
4.896 0.000 0.000 Al
4.896 0.000 2.769 Al
3.088 0.714 4.153 Co
3.088 -0.714 1.384 Co
3.088 4.189 1.384 Cu
3.088 -4.189 4.153 Cu
```

Most intense lines, 10° ≤ 2θ ≤ 80°, by angle:
- 14.8 deg, rel. 28.1
- 22.8 deg, rel. 78.1
- 26.6 deg, rel. 31.0
- 28.9 deg, rel. 72.9
- 31.2 deg, rel. 53.0
- 32.3 deg, rel. 51.4
- 32.7 deg, rel. 47.6
- 35.7 deg, rel. 40.4
- 43.8 deg, rel. 100.0
- 43.9 deg, rel. 82.3
- 61.8 deg, rel. 34.7
- 65.7 deg, rel. 28.7